Record 1
For TiMnCl6, DFT lattice parameters and positions (GGA-PBE) gives the simulated powder XRD pattern in this record (Cu Kα (λ = 1.5418 Å)).
Intensities are scaled so that the largest is 100.

Crystal structure
```
data_TiMnCl6
_chemical_formula_sum 'Ti2 Mn2 Cl12'
_symmetry_space_group_name_H-M 'P 1'
_symmetry_Int_Tables_number 1
_cell_length_a 6.7513
_cell_length_b 11.7664
_cell_length_c 6.1366
_cell_angle_alpha 90.00
_cell_angle_beta 91.80
_cell_angle_gamma 90.00
loop_
_symmetry_equiv_pos_as_xyz
'x,y,z'
loop_
_atom_site_label
_atom_site_type_symbol
_atom_site_fract_x
_atom_site_fract_y
_atom_site_fract_z
_atom_site_occupancy
Ti1 Ti 0.0000 0.0000 0.0000 1
Ti2 Ti 0.5000 0.5000 0.0000 1
Mn1 Mn 0.0000 0.0000 0.5000 1
Mn2 Mn 0.5000 0.5000 0.5000 1
Cl1 Cl 0.1412 0.1395 0.2352 1
Cl2 Cl 0.1412 0.8605 0.2352 1
Cl3 Cl 0.2196 0.5000 0.2233 1
Cl4 Cl 0.2804 0.0000 0.7767 1
Cl5 Cl 0.3588 0.3605 0.7648 1
Cl6 Cl 0.3588 0.6395 0.7648 1
Cl7 Cl 0.6412 0.3605 0.2352 1
Cl8 Cl 0.6412 0.6395 0.2352 1
Cl9 Cl 0.7196 0.0000 0.2233 1
Cl10 Cl 0.7804 0.5000 0.7767 1
Cl11 Cl 0.8588 0.1395 0.7648 1
Cl12 Cl 0.8588 0.8605 0.7648 1
```

Peak list (10 most intense, 10 to 90 degrees two-theta, in order of rising 2θ)
15.11°, d = 5.864 Å, rel. 100.0, hkl 0 2 0; 29.89°, d = 2.990 Å, rel. 23.9, hkl 1 3 -1; 30.32°, d = 2.948 Å, rel. 11.8, hkl 1 3 1; 30.63°, d = 2.918 Å, rel. 9.8, hkl 2 0 1; 39.06°, d = 2.306 Å, rel. 6.3, hkl 2 0 -2; 39.30°, d = 2.293 Å, rel. 5.6, hkl 1 3 -2; 39.95°, d = 2.257 Å, rel. 12.4, hkl 1 3 2; 42.09°, d = 2.147 Å, rel. 5.2, hkl 2 2 -2; 43.12°, d = 2.098 Å, rel. 6.4, hkl 2 4 -1; 46.54°, d = 1.951 Å, rel. 8.8, hkl 3 3 0

---

Record 2
For TbYSe, DFT lattice parameters and positions (GGA-PBE) gives the simulated powder XRD pattern in this record (Cu Kα (λ = 1.5418 Å)).
Intensities are scaled so that the largest is 100.

Crystal structure
```
data_TbYSe
_chemical_formula_sum 'Tb1 Y1 Se1'
_symmetry_space_group_name_H-M 'P 1'
_symmetry_Int_Tables_number 1
_cell_length_a 3.8652
_cell_length_b 3.8652
_cell_length_c 6.5487
_cell_angle_alpha 90.00
_cell_angle_beta 90.00
_cell_angle_gamma 120.00
loop_
_symmetry_equiv_pos_as_xyz
'x,y,z'
loop_
_atom_site_label
_atom_site_type_symbol
_atom_site_fract_x
_atom_site_fract_y
_atom_site_fract_z
_atom_site_occupancy
Tb1 Tb 0.0000 0.0000 0.0000 1
Y1 Y 0.6667 0.3333 0.4420 1
Se1 Se 0.3333 0.6667 0.7198 1
```

Peak list (10 most intense, 10 to 90 degrees two-theta, in order of rising 2θ)
13.52°, d = 6.549 Å, rel. 10.0, hkl 0 0 1; 29.98°, d = 2.981 Å, rel. 100.0, hkl 1 0 1; 38.46°, d = 2.341 Å, rel. 42.6, hkl 0 1 2; 47.02°, d = 1.933 Å, rel. 27.2, hkl 1 1 0; 49.87°, d = 1.828 Å, rel. 15.2, hkl 0 1 3; 56.77°, d = 1.622 Å, rel. 16.2, hkl 0 2 1; 62.30°, d = 1.490 Å, rel. 10.2, hkl 2 0 2; 64.39°, d = 1.447 Å, rel. 9.2, hkl 1 1 3; 76.72°, d = 1.242 Å, rel. 13.3, hkl 2 1 1; 81.57°, d = 1.180 Å, rel. 9.6, hkl 1 2 2

---

Record 3
For TbPm2Pr2Dy, DFT lattice parameters and positions (GGA-PBE) gives the simulated powder XRD pattern in this record (Cu Kα (λ = 1.5418 Å)).
Intensities are scaled so that the largest is 100.

Crystal structure
```
data_TbPm2Pr2Dy
_chemical_formula_sum 'Tb2 Pm4 Pr4 Dy2'
_symmetry_space_group_name_H-M 'P 1'
_symmetry_Int_Tables_number 1
_cell_length_a 7.1036
_cell_length_b 5.7468
_cell_length_c 9.9546
_cell_angle_alpha 90.00
_cell_angle_beta 90.00
_cell_angle_gamma 90.00
loop_
_symmetry_equiv_pos_as_xyz
'x,y,z'
loop_
_atom_site_label
_atom_site_type_symbol
_atom_site_fract_x
_atom_site_fract_y
_atom_site_fract_z
_atom_site_occupancy
Tb1 Tb 0.0000 0.0000 0.0000 1
Tb2 Tb 0.5000 0.0000 0.0000 1
Pm1 Pm 0.2500 0.0000 0.3362 1
Pm2 Pm 0.2500 0.5000 0.8321 1
Pm3 Pm 0.7500 0.0000 0.6638 1
Pm4 Pm 0.7500 0.5000 0.1679 1
Pr1 Pr 0.0000 0.5000 0.5000 1
Pr2 Pr 0.2500 0.0000 0.6756 1
Pr3 Pr 0.5000 0.5000 0.5000 1
Pr4 Pr 0.7500 0.0000 0.3244 1
Dy1 Dy 0.2500 0.5000 0.1604 1
Dy2 Dy 0.7500 0.5000 0.8396 1
```

Peak list (10 most intense, 10 to 90 degrees two-theta, in order of rising 2θ)
30.93°, d = 2.891 Å, rel. 90.8, hkl 2 1 1; 31.12°, d = 2.874 Å, rel. 100.0, hkl 0 2 0; 44.45°, d = 2.038 Å, rel. 33.5, hkl 2 2 2; 55.26°, d = 1.662 Å, rel. 35.1, hkl 2 3 1; 55.38°, d = 1.659 Å, rel. 19.5, hkl 0 3 3; 61.37°, d = 1.511 Å, rel. 28.8, hkl 4 2 0; 64.90°, d = 1.437 Å, rel. 12.0, hkl 0 4 0; 73.62°, d = 1.287 Å, rel. 14.8, hkl 2 4 2; 78.97°, d = 1.212 Å, rel. 13.8, hkl 4 3 3; 87.29°, d = 1.117 Å, rel. 10.9, hkl 4 4 0

---

Record 4
For ThPa2Cu6, DFT lattice parameters and positions (GGA-PBE) gives the simulated powder XRD pattern in this record (Cu Kα (λ = 1.5418 Å)).
Intensities are scaled so that the largest is 100.

Crystal structure
```
data_ThPa2Cu6
_chemical_formula_sum 'Th1 Pa2 Cu6'
_symmetry_space_group_name_H-M 'P 1'
_symmetry_Int_Tables_number 1
_cell_length_a 7.6394
_cell_length_b 7.6394
_cell_length_c 3.2131
_cell_angle_alpha 90.00
_cell_angle_beta 90.00
_cell_angle_gamma 120.00
loop_
_symmetry_equiv_pos_as_xyz
'x,y,z'
loop_
_atom_site_label
_atom_site_type_symbol
_atom_site_fract_x
_atom_site_fract_y
_atom_site_fract_z
_atom_site_occupancy
Th1 Th 0.0000 0.0000 0.0000 1
Pa1 Pa 0.3333 0.6667 0.0000 1
Pa2 Pa 0.6667 0.3333 0.0000 1
Cu1 Cu 0.0000 0.3368 0.5000 1
Cu2 Cu 0.0000 0.6632 0.5000 1
Cu3 Cu 0.3368 0.0000 0.5000 1
Cu4 Cu 0.3368 0.3368 0.5000 1
Cu5 Cu 0.6632 0.0000 0.5000 1
Cu6 Cu 0.6632 0.6632 0.5000 1
```

Peak list (10 most intense, 10 to 90 degrees two-theta, in order of rising 2θ)
23.29°, d = 3.820 Å, rel. 42.7, hkl 1 1 0; 36.54°, d = 2.459 Å, rel. 100.0, hkl 1 1 1; 40.92°, d = 2.205 Å, rel. 55.7, hkl 3 0 0; 47.61°, d = 1.910 Å, rel. 6.9, hkl 2 2 0; 56.01°, d = 1.642 Å, rel. 29.3, hkl 2 2 1; 57.35°, d = 1.607 Å, rel. 6.8, hkl 0 0 2; 62.74°, d = 1.481 Å, rel. 6.4, hkl 1 1 2; 71.66°, d = 1.317 Å, rel. 28.0, hkl 4 1 1; 72.84°, d = 1.299 Å, rel. 19.9, hkl 3 0 2; 74.53°, d = 1.273 Å, rel. 9.3, hkl 3 3 0